Theoretical XRD peak list
Compound: Tb5Nd12Er
Radiation: Cu Kα (λ = 1.5418 Å)
Structure: the PBE geometry in Alexandria
Peak positions follow from Bragg's law for the DFT cell and can differ from measured ones.

Crystal structure
```
data_Tb5Nd12Er
_cell_length_a 10.913
_cell_length_b 10.913
_cell_length_c 5.152
_cell_angle_alpha 90.00
_cell_angle_beta 90.00
_cell_angle_gamma 90.10
_space_group_name_H-M_alt 'P 1'
_space_group_IT_number 1
loop_
_space_group_symop_operation_xyz
'x,y,z'
loop_
_atom_site_label
_atom_site_type_symbol
_atom_site_fract_x
_atom_site_fract_y
_atom_site_fract_z
Tb1 Tb 0.000 0.000 0.000
Tb2 Tb 0.166 0.834 0.500
Tb3 Tb 0.333 0.667 0.000
Tb4 Tb 0.667 0.333 0.000
Tb5 Tb 0.834 0.166 0.500
Nd1 Nd 0.001 0.668 0.000
Nd2 Nd 0.166 0.166 0.500
Nd3 Nd 0.168 0.502 0.500
Nd4 Nd 0.332 0.999 0.000
Nd5 Nd 0.335 0.335 0.000
Nd6 Nd 0.498 0.832 0.500
Nd7 Nd 0.502 0.168 0.500
Nd8 Nd 0.665 0.665 0.000
Nd9 Nd 0.668 0.001 0.000
Nd10 Nd 0.832 0.498 0.500
Nd11 Nd 0.834 0.834 0.500
Nd12 Nd 0.999 0.332 0.000
Er1 Er 0.500 0.500 0.500
```

Peak list (10 most intense, 2θ from 15° to 90°, by angle)
2θ 30.1, I = 100; 2θ 34.9, I = 51; 2θ 50.1, I = 36; 2θ 59.5, I = 29; 2θ 59.6, I = 14; 2θ 62.5, I = 12; 2θ 73.6, I = 4; 2θ 81.5, I = 18; 2θ 84.1, I = 11; 2θ 84.2, I = 5